Diffraction record for La8CeNd3. The XRD peak list is simulated, not measured: it uses a structure optimized by DFT (GGA-PBE) and Cu Kα X-rays.
Lines closer than 0.1° are merged.

The 10 most intense peaks (10 to 80 degrees two-theta), by angle:
2θ (°), Rel. int.
14.08, 31
23.63, 55
25.17, 58
28.39, 81
30.61, 69
32.17, 32
35.42, 100
42.23, 50
43.56, 43
54.94, 37

Cell and atoms:
```
data_La8CeNd3
_chemical_formula_sum 'La8 Ce1 Nd3'
_cell_length_a 8.5833
_cell_length_b 8.5833
_cell_length_c 8.5833
_cell_angle_alpha 117.60
_cell_angle_beta 117.60
_cell_angle_gamma 94.21
_symmetry_space_group_name_H-M 'P 1'
_symmetry_Int_Tables_number 1
loop_
_symmetry_equiv_pos_as_xyz
'x,y,z'
loop_
_atom_site_label
_atom_site_type_symbol
_atom_site_fract_x
_atom_site_fract_y
_atom_site_fract_z
La1 La 0.1228 0.1228 0.7627
La2 La 0.2139 0.2139 0.4683
La3 La 0.2544 0.7861 0.0000
La4 La 0.3601 0.3601 0.2373
La5 La 0.6399 0.8772 0.0000
La6 La 0.7456 0.7456 0.5317
La7 La 0.7861 0.2544 0.0000
La8 La 0.8772 0.6399 0.0000
Ce1 Ce 0.0000 0.0000 0.0000
Nd1 Nd 0.2500 0.7500 0.5000
Nd2 Nd 0.5000 0.5000 0.0000
Nd3 Nd 0.7500 0.2500 0.5000
```